# Li2FeP2O7
Calculated X-ray diffraction stick pattern, a wavelength of 1.5418 Å. Input: a GGA+U-relaxed structure.
No peak broadening, texture or thermal motion is included.

Lattice parameters (Å, degrees): 5.1144 13.6156 9.3367 90.00 120.78 90.00
Fractional positions:
1 Li 0.0299 0.1031 0.3647
2 Li 0.0299 0.3969 0.8647
3 Li 0.4183 0.1943 0.1664
4 Li 0.4183 0.3057 0.6664
5 Li 0.5817 0.6943 0.3336
6 Li 0.5817 0.8057 0.8336
7 Li 0.9701 0.6031 0.1353
8 Li 0.9701 0.8969 0.6353
9 Fe 0.0281 0.1611 0.7382
10 Fe 0.0281 0.3389 0.2382
11 Fe 0.9719 0.6611 0.7618
12 Fe 0.9719 0.8389 0.2618
13 P 0.2722 0.6779 0.5333
14 P 0.2722 0.8221 0.0333
15 P 0.4746 0.5294 0.7768
16 P 0.4746 0.9706 0.2768
17 P 0.5254 0.0294 0.7232
18 P 0.5254 0.4706 0.2232
19 P 0.7278 0.1779 0.9667
20 P 0.7278 0.3221 0.4667
21 O 0.0021 0.6906 0.3541
22 O 0.0021 0.8094 0.8541
23 O 0.2191 0.7317 0.6606
24 O 0.2191 0.7683 0.1606
25 O 0.2198 0.5358 0.8200
26 O 0.2198 0.9642 0.3200
27 O 0.2686 0.1052 0.6241
28 O 0.2686 0.3948 0.1241
29 O 0.3013 0.5625 0.5782
30 O 0.3013 0.9375 0.0782
31 O 0.4076 0.5726 0.2189
32 O 0.4076 0.9274 0.7189
33 O 0.4233 0.2059 0.9534
34 O 0.4233 0.2941 0.4534
35 O 0.5767 0.7059 0.5466
36 O 0.5767 0.7941 0.0466
37 O 0.5924 0.0726 0.2811
38 O 0.5924 0.4274 0.7811
39 O 0.6987 0.0625 0.9218
40 O 0.6987 0.4375 0.4218
41 O 0.7314 0.6052 0.8759
42 O 0.7314 0.8948 0.3759
43 O 0.7802 0.0358 0.6800
44 O 0.7802 0.4642 0.1800
45 O 0.7809 0.2317 0.8394
46 O 0.7809 0.2683 0.3394
47 O 0.9979 0.1906 0.1459
48 O 0.9979 0.3094 0.6459

Most intense lines, 2θ from 10° to 80°, sorted by position:
2θ (°)	I (rel.)
17.1	100
22.2	32
22.5	29
24.1	32
24.8	24
30.7	27
31.8	30
39.7	34